Structure and calculated XRD peak list of Na3Sb3As2O14 (a structure optimized by DFT (GGA-PBE); Cu Kα, 1.54184 Å).
Peak positions follow from Bragg's law for the DFT cell and can differ from measured ones.

Main lines, in order of rising 2θ (2θ = 10–80°):
d_spacing, 2θ (°), I/Imax, h k l
6.285, 14.09, 97.4, 1 0 0
6.080, 14.57, 31.6, 0 0 2
3.691, 24.11, 39.2, 0 2 0
3.155, 28.29, 100.0, 0 2 2
3.137, 28.45, 60.5, 2 0 0
3.120, 28.61, 45.5, 1 0 -4
3.010, 29.68, 27.5, 1 2 -2
2.660, 33.69, 29.2, 1 2 2
2.417, 37.20, 43.7, 2 2 -2
1.838, 49.59, 30.1, 1 2 -6

Structural model:
Unit cell a=6.567 b=7.382 c=12.725 alpha=90.00 beta=107.15 gamma=90.00
Space group P2_1/c (No. 14)
Symmetry-distinct sites (fractional):
1 Na 0.000 0.000 0.000 [2 per cell]
2 Na 0.464 0.213 0.067 [4 per cell]
3 Sb 0.000 0.000 0.500 [2 per cell]
4 Sb 0.023 0.241 0.253 [4 per cell]
5 As 0.416 0.735 0.160 [4 per cell]
6 O 0.033 0.704 0.905 [4 per cell]
7 O 0.067 0.006 0.803 [4 per cell]
8 O 0.101 0.190 0.416 [4 per cell]
9 O 0.295 0.726 0.763 [4 per cell]
10 O 0.317 0.531 0.092 [4 per cell]
11 O 0.330 0.188 0.256 [4 per cell]
12 O 0.390 0.595 0.571 [4 per cell]

***

Structure and calculated XRD peak list of Na3TeAs2O14 (a structure optimized by DFT (GGA-PBE); Cu Kα, 1.54184 Å).
Peak positions follow from Bragg's law for the DFT cell and can differ from measured ones.

Main lines, in order of rising 2θ (2θ = 10–80°):
d_spacing, 2θ (°), I/Imax, h k l
4.490, 19.77, 51.6, 0 1 -2
4.461, 19.90, 100.0, 0 1 2
4.016, 22.13, 28.7, 1 1 0
3.989, 22.29, 56.7, 2 -1 0
2.994, 29.84, 18.6, 2 0 -2
2.973, 30.06, 36.6, 2 0 2
2.927, 30.54, 10.8, 0 0 4
2.383, 37.75, 14.2, -3 2 2
2.356, 38.20, 14.6, 1 1 4
1.697, 54.03, 13.4, 2 0 6

Structural model:
Unit cell a=7.974 b=7.982 c=11.709 alpha=90.26 beta=90.20 gamma=119.55
Space group P1 (No. 1)
Symmetry-distinct sites (fractional):
1 Na 0.000 0.000 0.000 [1 per cell]
2 Na 0.001 0.426 0.000 [1 per cell]
3 Na 0.050 0.524 0.500 [1 per cell]
4 Na 0.050 0.950 0.500 [1 per cell]
5 Na 0.476 0.950 0.501 [1 per cell]
6 Na 0.574 0.000 0.000 [1 per cell]
7 Te 0.523 0.479 0.000 [1 per cell]
8 Te 0.527 0.473 0.500 [1 per cell]
9 As 0.191 0.806 0.760 [1 per cell]
10 As 0.196 0.810 0.241 [1 per cell]
11 As 0.859 0.141 0.741 [1 per cell]
12 As 0.860 0.140 0.260 [1 per cell]
13 O 0.018 0.851 0.822 [1 per cell]
14 O 0.021 0.603 0.172 [1 per cell]
15 O 0.030 0.359 0.679 [1 per cell]
16 O 0.037 0.100 0.321 [1 per cell]
17 O 0.144 0.980 0.179 [1 per cell]
18 O 0.152 0.590 0.821 [1 per cell]
19 O 0.193 0.807 0.384 [1 per cell]
20 O 0.193 0.807 0.617 [1 per cell]
21 O 0.302 0.458 0.079 [1 per cell]
22 O 0.305 0.263 0.926 [1 per cell]
23 O 0.316 0.256 0.575 [1 per cell]
24 O 0.316 0.485 0.425 [1 per cell]
25 O 0.399 0.982 0.827 [1 per cell]
26 O 0.412 0.851 0.179 [1 per cell]
27 O 0.510 0.251 0.423 [1 per cell]
28 O 0.516 0.685 0.575 [1 per cell]
29 O 0.531 0.265 0.074 [1 per cell]
30 O 0.542 0.699 0.922 [1 per cell]
31 O 0.643 0.968 0.322 [1 per cell]
32 O 0.650 0.106 0.674 [1 per cell]
33 O 0.734 0.467 0.926 [1 per cell]
34 O 0.736 0.697 0.076 [1 per cell]
35 O 0.744 0.685 0.426 [1 per cell]
36 O 0.748 0.490 0.578 [1 per cell]
37 O 0.858 0.142 0.117 [1 per cell]
38 O 0.859 0.143 0.884 [1 per cell]
39 O 0.889 0.347 0.328 [1 per cell]
40 O 0.902 0.966 0.679 [1 per cell]